Entry 1:
Simulated XRD peak list
Compound: La5HoIn2
Radiation: Cu Kα, 1.54184 Å
Structure: the PBE geometry in Alexandria
Intensities are scaled so that the largest is 100.

Atomic structure:
```
data_La5HoIn2
_space_group_name_H-M_alt 'P 1'
_space_group_IT_number 1
_space_group_name_Hall 'P 1'
_cell_length_a 7.969
_cell_length_b 16.563
_cell_length_c 3.836
_cell_angle_alpha 90.00
_cell_angle_beta 90.00
_cell_angle_gamma 90.00
loop_
_atom_site_label
_atom_site_fract_x
_atom_site_fract_y
_atom_site_fract_z
_atom_site_occupancy
La1 0.000 0.000 0.000 1
La2 0.015 0.247 0.000 1
La3 0.225 0.871 0.500 1
La4 0.275 0.371 0.500 1
La5 0.485 0.747 0.000 1
La6 0.500 0.500 0.000 1
La7 0.515 0.253 0.000 1
La8 0.725 0.629 0.500 1
La9 0.775 0.129 0.500 1
La10 0.985 0.753 0.000 1
Ho1 0.000 0.500 0.000 1
Ho2 0.500 0.000 0.000 1
In1 0.230 0.620 0.500 1
In2 0.270 0.120 0.500 1
In3 0.730 0.880 0.500 1
In4 0.770 0.380 0.500 1
```

Largest 12 diffraction maxima, low angle first, 5 to 70 degrees two-theta:
2θ = 31.2°, 2.871 Å, I = 100; 2θ = 31.8°, 2.814 Å, I = 99; 2θ = 32.4°, 2.763 Å, I = 91; 2θ = 43.7°, 2.070 Å, I = 20; 2θ = 45.5°, 1.992 Å, I = 15; 2θ = 47.4°, 1.918 Å, I = 16; 2θ = 55.5°, 1.657 Å, I = 38; 2θ = 56.6°, 1.626 Å, I = 31; 2θ = 57.8°, 1.595 Å, I = 34; 2θ = 65.0°, 1.436 Å, I = 10; 2θ = 66.5°, 1.407 Å, I = 12; 2θ = 67.8°, 1.382 Å, I = 9

Entry 2:
Simulated XRD peak list
Compound: Cr7Re
Radiation: Cu Kα, 1.54184 Å
Structure: the PBE geometry in Alexandria
Intensities are scaled so that the largest is 100.

Atomic structure:
```
data_Cr7Re
_space_group_name_H-M_alt 'P 1'
_space_group_IT_number 1
_space_group_name_Hall 'P 1'
_cell_length_a 5.782
_cell_length_b 5.782
_cell_length_c 5.782
_cell_angle_alpha 89.82
_cell_angle_beta 89.82
_cell_angle_gamma 89.82
loop_
_atom_site_label
_atom_site_fract_x
_atom_site_fract_y
_atom_site_fract_z
_atom_site_occupancy
Cr1 0.121 0.121 0.121 1
Cr2 0.122 0.122 0.629 1
Cr3 0.122 0.629 0.122 1
Cr4 0.123 0.628 0.628 1
Cr5 0.371 0.878 0.878 1
Cr6 0.372 0.372 0.877 1
Cr7 0.372 0.877 0.372 1
Cr8 0.628 0.123 0.628 1
Cr9 0.628 0.628 0.123 1
Cr10 0.629 0.122 0.122 1
Cr11 0.877 0.372 0.372 1
Cr12 0.878 0.371 0.878 1
Cr13 0.878 0.878 0.371 1
Cr14 0.879 0.879 0.879 1
Re1 0.371 0.371 0.371 1
Re2 0.629 0.629 0.629 1
```

Largest 12 diffraction maxima, low angle first, 5 to 70 degrees two-theta:
2θ = 15.3°, 5.782 Å, I = 30; 2θ = 21.8°, 4.082 Å, I = 34; 2θ = 26.7°, 3.335 Å, I = 10; 2θ = 34.7°, 2.586 Å, I = 26; 2θ = 38.0°, 2.367 Å, I = 8; 2θ = 38.2°, 2.357 Å, I = 9; 2θ = 44.2°, 2.048 Å, I = 100; 2θ = 44.4°, 2.041 Å, I = 99; 2θ = 47.2°, 1.926 Å, I = 10; 2θ = 49.8°, 1.830 Å, I = 8; 2θ = 64.5°, 1.446 Å, I = 30; 2θ = 66.8°, 1.401 Å, I = 6

Entry 3:
Simulated XRD peak list
Compound: Na2As2Br7
Radiation: Cu Kα, 1.54184 Å
Structure: the PBE geometry in Alexandria
Intensities are scaled so that the largest is 100.

Atomic structure:
```
data_Na2As2Br7
_space_group_name_H-M_alt 'P 1'
_space_group_IT_number 1
_space_group_name_Hall 'P 1'
_cell_length_a 7.740
_cell_length_b 7.740
_cell_length_c 7.357
_cell_angle_alpha 93.47
_cell_angle_beta 93.47
_cell_angle_gamma 106.34
loop_
_atom_site_label
_atom_site_fract_x
_atom_site_fract_y
_atom_site_fract_z
_atom_site_occupancy
Na1 0.178 0.822 0.000 1
Na2 0.822 0.178 0.000 1
As1 0.234 0.234 0.607 1
As2 0.766 0.766 0.393 1
Br1 0.093 0.093 0.262 1
Br2 0.106 0.438 0.804 1
Br3 0.438 0.106 0.804 1
Br4 0.500 0.500 0.500 1
Br5 0.562 0.894 0.196 1
Br6 0.894 0.562 0.196 1
Br7 0.907 0.907 0.738 1
```

Largest 12 diffraction maxima, low angle first, 5 to 70 degrees two-theta:
2θ = 14.3°, 6.195 Å, I = 45; 2θ = 17.7°, 5.006 Å, I = 70; 2θ = 18.8°, 4.729 Å, I = 100; 2θ = 19.2°, 4.616 Å, I = 39; 2θ = 26.1°, 3.411 Å, I = 63; 2θ = 27.0°, 3.297 Å, I = 34; 2θ = 31.2°, 2.865 Å, I = 97; 2θ = 34.9°, 2.573 Å, I = 98; 2θ = 36.4°, 2.468 Å, I = 28; 2θ = 43.8°, 2.065 Å, I = 35; 2θ = 44.8°, 2.023 Å, I = 27; 2θ = 48.0°, 1.896 Å, I = 29

Entry 4:
Simulated XRD peak list
Compound: Bi6PdRu
Radiation: Cu Kα, 1.54184 Å
Structure: the PBE geometry in Alexandria
Intensities are scaled so that the largest is 100.

Atomic structure:
```
data_Bi6PdRu
_space_group_name_H-M_alt 'P 1'
_space_group_IT_number 1
_space_group_name_Hall 'P 1'
_cell_length_a 5.801
_cell_length_b 6.609
_cell_length_c 7.008
_cell_angle_alpha 72.68
_cell_angle_beta 68.46
_cell_angle_gamma 67.71
loop_
_atom_site_label
_atom_site_fract_x
_atom_site_fract_y
_atom_site_fract_z
_atom_site_occupancy
Bi1 0.008 0.286 0.214 1
Bi2 0.268 0.092 0.680 1
Bi3 0.428 0.590 0.207 1
Bi4 0.572 0.410 0.793 1
Bi5 0.732 0.908 0.320 1
Bi6 0.992 0.714 0.786 1
Pd1 0.500 0.000 0.000 1
Ru1 0.000 0.500 0.500 1
```

Largest 12 diffraction maxima, low angle first, 5 to 70 degrees two-theta:
2θ = 26.6°, 3.348 Å, I = 59; 2θ = 27.8°, 3.205 Å, I = 82; 2θ = 28.5°, 3.137 Å, I = 98; 2θ = 29.5°, 3.026 Å, I = 100; 2θ = 30.6°, 2.918 Å, I = 96; 2θ = 30.9°, 2.892 Å, I = 26; 2θ = 32.7°, 2.738 Å, I = 62; 2θ = 33.5°, 2.676 Å, I = 40; 2θ = 37.1°, 2.424 Å, I = 35; 2θ = 41.2°, 2.190 Å, I = 34; 2θ = 42.2°, 2.142 Å, I = 38; 2θ = 44.8°, 2.021 Å, I = 54

Entry 5:
Simulated XRD peak list
Compound: La2Sm7HoTl2
Radiation: Cu Kα, 1.54184 Å
Structure: the PBE geometry in Alexandria
Intensities are scaled so that the largest is 100.

Atomic structure:
```
data_La2Sm7HoTl2
_space_group_name_H-M_alt 'P 1'
_space_group_IT_number 1
_space_group_name_Hall 'P 1'
_cell_length_a 6.137
_cell_length_b 6.137
_cell_length_c 11.373
_cell_angle_alpha 90.04
_cell_angle_beta 90.04
_cell_angle_gamma 69.30
loop_
_atom_site_label
_atom_site_fract_x
_atom_site_fract_y
_atom_site_fract_z
_atom_site_occupancy
La1 0.000 0.000 0.146 1
La2 0.000 0.000 0.854 1
Sm1 0.000 0.000 0.500 1
Sm2 0.000 0.500 0.334 1
Sm3 0.000 0.500 0.666 1
Sm4 0.319 0.319 0.000 1
Sm5 0.500 0.000 0.334 1
Sm6 0.500 0.000 0.666 1
Sm7 0.681 0.681 0.000 1
Ho1 0.500 0.500 0.500 1
Tl1 0.500 0.500 0.229 1
Tl2 0.500 0.500 0.771 1
```

Largest 12 diffraction maxima, low angle first, 5 to 70 degrees two-theta:
2θ = 29.5°, 3.031 Å, I = 100; 2θ = 31.2°, 2.870 Å, I = 73; 2θ = 32.2°, 2.783 Å, I = 24; 2θ = 33.5°, 2.675 Å, I = 22; 2θ = 35.0°, 2.565 Å, I = 51; 2θ = 35.2°, 2.548 Å, I = 29; 2θ = 35.6°, 2.524 Å, I = 31; 2θ = 40.9°, 2.204 Å, I = 19; 2θ = 50.7°, 1.800 Å, I = 38; 2θ = 52.5°, 1.744 Å, I = 16; 2θ = 61.1°, 1.516 Å, I = 22; 2θ = 61.3°, 1.512 Å, I = 25

Entry 6:
Simulated XRD peak list
Compound: Cu6PdAu5
Radiation: Cu Kα, 1.54184 Å
Structure: the PBE geometry in Alexandria
Intensities are scaled so that the largest is 100.

Atomic structure:
```
data_Cu6PdAu5
_space_group_name_H-M_alt 'P 1'
_space_group_IT_number 1
_space_group_name_Hall 'P 1'
_cell_length_a 7.335
_cell_length_b 7.335
_cell_length_c 4.051
_cell_angle_alpha 105.95
_cell_angle_beta 105.95
_cell_angle_gamma 59.40
loop_
_atom_site_label
_atom_site_fract_x
_atom_site_fract_y
_atom_site_fract_z
_atom_site_occupancy
Cu1 0.083 0.586 0.335 1
Cu2 0.247 0.753 0.000 1
Cu3 0.414 0.917 0.665 1
Cu4 0.586 0.083 0.335 1
Cu5 0.753 0.247 0.000 1
Cu6 0.917 0.414 0.665 1
Pd1 0.000 0.000 0.500 1
Au1 0.165 0.165 0.164 1
Au2 0.333 0.333 0.833 1
Au3 0.500 0.500 0.500 1
Au4 0.667 0.667 0.167 1
Au5 0.835 0.835 0.836 1
```

Largest 12 diffraction maxima, low angle first, 5 to 70 degrees two-theta:
2θ = 24.5°, 3.635 Å, I = 18; 2θ = 31.3°, 2.857 Å, I = 20; 2θ = 40.1°, 2.246 Å, I = 100; 2θ = 44.7°, 2.025 Å, I = 18; 2θ = 45.0°, 2.015 Å, I = 18; 2θ = 50.2°, 1.817 Å, I = 13; 2θ = 51.7°, 1.769 Å, I = 5; 2θ = 60.4°, 1.533 Å, I = 7; 2θ = 65.3°, 1.430 Å, I = 6; 2θ = 65.4°, 1.427 Å, I = 6; 2θ = 69.5°, 1.353 Å, I = 10; 2θ = 69.7°, 1.349 Å, I = 10

Entry 7:
Simulated XRD peak list
Compound: Y2Ga4Cu3Ir
Radiation: Cu Kα, 1.54184 Å
Structure: the PBE geometry in Alexandria
Intensities are scaled so that the largest is 100.

Atomic structure:
```
data_Y2Ga4Cu3Ir
_space_group_name_H-M_alt 'P 1'
_space_group_IT_number 1
_space_group_name_Hall 'P 1'
_cell_length_a 4.053
_cell_length_b 4.053
_cell_length_c 10.583
_cell_angle_alpha 90.00
_cell_angle_beta 90.00
_cell_angle_gamma 90.00
loop_
_atom_site_label
_atom_site_fract_x
_atom_site_fract_y
_atom_site_fract_z
_atom_site_occupancy
Y1 0.000 0.500 0.249 1
Y2 0.500 0.000 0.751 1
Ga1 0.000 0.000 0.000 1
Ga2 0.000 0.500 0.637 1
Ga3 0.500 0.000 0.363 1
Ga4 0.500 0.500 0.000 1
Cu1 0.000 0.500 0.864 1
Cu2 0.500 0.000 0.136 1
Cu3 0.500 0.500 0.500 1
Ir1 0.000 0.000 0.500 1
```

Largest 12 diffraction maxima, low angle first, 5 to 70 degrees two-theta:
2θ = 8.4°, 10.583 Å, I = 22; 2θ = 16.8°, 5.291 Å, I = 13; 2θ = 23.5°, 3.785 Å, I = 11; 2θ = 33.7°, 2.661 Å, I = 37; 2θ = 35.6°, 2.520 Å, I = 100; 2θ = 44.7°, 2.026 Å, I = 50; 2θ = 46.7°, 1.944 Å, I = 29; 2θ = 48.5°, 1.876 Å, I = 22; 2θ = 57.1°, 1.612 Å, I = 16; 2θ = 61.8°, 1.502 Å, I = 11; 2θ = 65.1°, 1.433 Å, I = 16; 2θ = 68.1°, 1.377 Å, I = 15

Entry 8:
Simulated XRD peak list
Compound: YTc4P4
Radiation: Cu Kα, 1.54184 Å
Structure: the PBE geometry in Alexandria
Intensities are scaled so that the largest is 100.

Atomic structure:
```
data_YTc4P4
_space_group_name_H-M_alt 'P 1'
_space_group_IT_number 1
_space_group_name_Hall 'P 1'
_cell_length_a 5.961
_cell_length_b 5.961
_cell_length_c 7.827
_cell_angle_alpha 90.00
_cell_angle_beta 90.00
_cell_angle_gamma 90.00
loop_
_atom_site_label
_atom_site_fract_x
_atom_site_fract_y
_atom_site_fract_z
_atom_site_occupancy
Y1 0.250 0.750 0.250 1
Y2 0.750 0.250 0.750 1
Tc1 0.003 0.250 0.123 1
Tc2 0.250 0.003 0.623 1
Tc3 0.250 0.497 0.623 1
Tc4 0.497 0.250 0.123 1
Tc5 0.503 0.750 0.877 1
Tc6 0.750 0.503 0.377 1
Tc7 0.750 0.997 0.377 1
Tc8 0.997 0.750 0.877 1
P1 0.051 0.250 0.422 1
P2 0.250 0.051 0.922 1
P3 0.250 0.449 0.922 1
P4 0.449 0.250 0.422 1
P5 0.551 0.750 0.578 1
P6 0.750 0.551 0.078 1
P7 0.750 0.949 0.078 1
P8 0.949 0.750 0.578 1
```

Largest 12 diffraction maxima, low angle first, 5 to 70 degrees two-theta:
2θ = 18.7°, 4.743 Å, I = 17; 2θ = 27.3°, 3.272 Å, I = 27; 2θ = 32.1°, 2.785 Å, I = 34; 2θ = 35.6°, 2.524 Å, I = 100; 2θ = 37.6°, 2.390 Å, I = 47; 2θ = 41.0°, 2.203 Å, I = 28; 2θ = 42.9°, 2.108 Å, I = 35; 2θ = 46.2°, 1.963 Å, I = 27; 2θ = 56.9°, 1.618 Å, I = 18; 2θ = 58.4°, 1.581 Å, I = 20; 2θ = 62.3°, 1.490 Å, I = 22; 2θ = 65.0°, 1.434 Å, I = 33

Entry 9:
Simulated XRD peak list
Compound: Pm8RuPb3
Radiation: Cu Kα, 1.54184 Å
Structure: the PBE geometry in Alexandria
Intensities are scaled so that the largest is 100.

Atomic structure:
```
data_Pm8RuPb3
_space_group_name_H-M_alt 'P 1'
_space_group_IT_number 1
_space_group_name_Hall 'P 1'
_cell_length_a 9.078
_cell_length_b 9.078
_cell_length_c 9.078
_cell_angle_alpha 131.89
_cell_angle_beta 131.89
_cell_angle_gamma 70.40
loop_
_atom_site_label
_atom_site_fract_x
_atom_site_fract_y
_atom_site_fract_z
_atom_site_occupancy
Pm1 0.117 0.117 0.469 1
Pm2 0.117 0.649 0.000 1
Pm3 0.351 0.351 0.469 1
Pm4 0.351 0.883 0.000 1
Pm5 0.649 0.117 0.000 1
Pm6 0.649 0.649 0.531 1
Pm7 0.883 0.351 0.000 1
Pm8 0.883 0.883 0.531 1
Ru1 0.000 0.000 0.000 1
Pb1 0.250 0.750 0.500 1
Pb2 0.500 0.500 0.000 1
Pb3 0.750 0.250 0.500 1
```

Largest 12 diffraction maxima, low angle first, 5 to 70 degrees two-theta:
2θ = 20.8°, 4.276 Å, I = 35; 2θ = 24.0°, 3.703 Å, I = 7; 2θ = 27.6°, 3.230 Å, I = 2; 2θ = 34.2°, 2.619 Å, I = 100; 2θ = 36.9°, 2.434 Å, I = 2; 2θ = 40.4°, 2.233 Å, I = 19; 2θ = 49.1°, 1.855 Å, I = 6; 2θ = 49.2°, 1.850 Å, I = 11; 2θ = 54.0°, 1.699 Å, I = 9; 2θ = 54.4°, 1.688 Å, I = 2; 2θ = 61.3°, 1.512 Å, I = 34; 2θ = 65.5°, 1.425 Å, I = 5

Entry 10:
Simulated XRD peak list
Compound: AcDyCuAu
Radiation: Cu Kα, 1.54184 Å
Structure: the PBE geometry in Alexandria
Intensities are scaled so that the largest is 100.

Atomic structure:
```
data_AcDyCuAu
_space_group_name_H-M_alt 'P 1'
_space_group_IT_number 1
_space_group_name_Hall 'P 1'
_cell_length_a 4.760
_cell_length_b 4.053
_cell_length_c 10.943
_cell_angle_alpha 90.00
_cell_angle_beta 90.00
_cell_angle_gamma 90.00
loop_
_atom_site_label
_atom_site_fract_x
_atom_site_fract_y
_atom_site_fract_z
_atom_site_occupancy
Ac1 0.000 0.000 0.000 1
Ac2 0.000 0.500 0.500 1
Dy1 0.500 0.000 0.720 1
Dy2 0.500 0.500 0.220 1
Cu1 0.000 0.000 0.277 1
Cu2 0.000 0.500 0.777 1
Au1 0.500 0.000 0.425 1
Au2 0.500 0.500 0.925 1
```

Largest 12 diffraction maxima, low angle first, 5 to 70 degrees two-theta:
2θ = 16.2°, 5.471 Å, I = 17; 2θ = 24.8°, 3.591 Å, I = 17; 2θ = 30.1°, 2.970 Å, I = 100; 2θ = 32.7°, 2.736 Å, I = 18; 2θ = 33.0°, 2.711 Å, I = 35; 2θ = 37.8°, 2.380 Å, I = 30; 2θ = 37.9°, 2.372 Å, I = 24; 2θ = 38.2°, 2.356 Å, I = 54; 2θ = 44.7°, 2.026 Å, I = 19; 2θ = 51.1°, 1.789 Å, I = 21; 2θ = 60.0°, 1.542 Å, I = 28; 2θ = 63.8°, 1.459 Å, I = 13

Entry 11:
Simulated XRD peak list
Compound: DyUAs
Radiation: Cu Kα, 1.54184 Å
Structure: the PBE geometry in Alexandria
Intensities are scaled so that the largest is 100.

Atomic structure:
```
data_DyUAs
_space_group_name_H-M_alt 'P 1'
_space_group_IT_number 1
_space_group_name_Hall 'P 1'
_cell_length_a 4.205
_cell_length_b 4.205
_cell_length_c 8.252
_cell_angle_alpha 90.00
_cell_angle_beta 90.00
_cell_angle_gamma 90.00
loop_
_atom_site_label
_atom_site_fract_x
_atom_site_fract_y
_atom_site_fract_z
_atom_site_occupancy
Dy1 0.250 0.750 0.000 1
Dy2 0.750 0.250 0.000 1
U1 0.250 0.250 0.376 1
U2 0.750 0.750 0.624 1
As1 0.250 0.250 0.733 1
As2 0.750 0.750 0.267 1
```

Largest 12 diffraction maxima, low angle first, 5 to 70 degrees two-theta:
2θ = 23.7°, 3.747 Å, I = 12; 2θ = 30.4°, 2.945 Å, I = 47; 2θ = 32.0°, 2.797 Å, I = 100; 2θ = 32.6°, 2.751 Å, I = 25; 2θ = 37.3°, 2.412 Å, I = 33; 2θ = 39.1°, 2.302 Å, I = 30; 2θ = 43.0°, 2.102 Å, I = 44; 2θ = 53.6°, 1.711 Å, I = 20; 2θ = 54.1°, 1.695 Å, I = 22; 2θ = 55.0°, 1.670 Å, I = 24; 2θ = 59.6°, 1.552 Å, I = 18; 2θ = 62.5°, 1.487 Å, I = 15

Entry 12:
Simulated XRD peak list
Compound: La2PmTh6
Radiation: Cu Kα, 1.54184 Å
Structure: the PBE geometry in Alexandria
Intensities are scaled so that the largest is 100.

Atomic structure:
```
data_La2PmTh6
_space_group_name_H-M_alt 'P 1'
_space_group_IT_number 1
_space_group_name_Hall 'P 1'
_cell_length_a 3.563
_cell_length_b 3.563
_cell_length_c 27.456
_cell_angle_alpha 90.00
_cell_angle_beta 90.00
_cell_angle_gamma 120.00
loop_
_atom_site_label
_atom_site_fract_x
_atom_site_fract_y
_atom_site_fract_z
_atom_site_occupancy
La1 0.000 0.000 0.171 1
La2 0.000 0.000 0.829 1
Pm1 0.333 0.667 0.500 1
Th1 0.000 0.000 0.390 1
Th2 0.000 0.000 0.610 1
Th3 0.333 0.667 0.060 1
Th4 0.333 0.667 0.284 1
Th5 0.333 0.667 0.716 1
Th6 0.333 0.667 0.940 1
```

Largest 12 diffraction maxima, low angle first, 5 to 70 degrees two-theta:
2θ = 9.7°, 9.152 Å, I = 14; 2θ = 28.9°, 3.086 Å, I = 51; 2θ = 29.1°, 3.067 Å, I = 13; 2θ = 29.3°, 3.051 Å, I = 56; 2θ = 30.6°, 2.924 Å, I = 12; 2θ = 31.8°, 2.815 Å, I = 70; 2θ = 33.3°, 2.690 Å, I = 100; 2θ = 41.6°, 2.170 Å, I = 36; 2θ = 51.3°, 1.782 Å, I = 39; 2θ = 55.5°, 1.655 Å, I = 32; 2θ = 60.1°, 1.539 Å, I = 48; 2θ = 62.5°, 1.485 Å, I = 17